Record 1
The following is a theoretical powder X-ray diffraction pattern of Rb2Sn7Pd12. It was derived from a crystal structure in Alexandria, relaxed with PBE, using λ = 1.5418 Å (Cu Kα).
Kinematic intensities with the Lorentz-polarization factor, no thermal factor.

a b c (Å): 10.938 10.938 4.218
angles (deg): 90.00 90.00 120.00
Element x y z (fractional)
Rb 0.333 0.667 0.245
Rb 0.667 0.333 0.755
Sn 0.000 0.000 0.500
Sn 0.110 0.710 0.741
Sn 0.290 0.399 0.741
Sn 0.399 0.110 0.259
Sn 0.601 0.890 0.741
Sn 0.710 0.601 0.259
Sn 0.890 0.290 0.259
Pd 0.056 0.434 0.753
Pd 0.119 0.256 0.236
Pd 0.138 0.881 0.236
Pd 0.256 0.138 0.764
Pd 0.379 0.944 0.753
Pd 0.434 0.379 0.247
Pd 0.566 0.621 0.753
Pd 0.621 0.056 0.247
Pd 0.744 0.862 0.236
Pd 0.862 0.119 0.764
Pd 0.881 0.744 0.764
Pd 0.944 0.566 0.247

The 10 most intense peaks (10 to 90 degrees two-theta), low angle first:
| d/Å | 2theta | intensity |
| --- | --- | --- |
| 5.469 | 16.21 | 14.6 |
| 2.730 | 32.81 | 100.0 |
| 2.528 | 35.51 | 17.7 |
| 2.230 | 40.45 | 40.8 |
| 2.173 | 41.55 | 16.4 |
| 2.109 | 42.88 | 23.4 |
| 2.066 | 43.81 | 46.3 |
| 1.932 | 47.04 | 12.9 |
| 1.476 | 62.96 | 13.7 |
| 1.289 | 73.49 | 17.0 |

=====

Record 2
The following is a theoretical powder X-ray diffraction pattern of Rb4Sn5Pd. It was derived from a crystal structure in Alexandria, relaxed with PBE, using λ = 1.5418 Å (Cu Kα).
Kinematic intensities with the Lorentz-polarization factor, no thermal factor.

a b c (Å): 8.420 8.420 8.420
angles (deg): 99.19 99.19 132.90
Element x y z (fractional)
Rb 0.000 0.296 0.296
Rb 0.000 0.704 0.704
Rb 0.296 0.000 0.296
Rb 0.704 0.000 0.704
Sn 0.204 0.204 0.000
Sn 0.382 0.382 0.719
Sn 0.382 0.663 0.000
Sn 0.663 0.382 0.000
Sn 0.663 0.663 0.281
Pd 0.792 0.792 0.000

The 10 most intense peaks (10 to 90 degrees two-theta), low angle first:
| d/Å | 2theta | intensity |
| --- | --- | --- |
| 7.719 | 11.46 | 64.6 |
| 3.364 | 26.50 | 18.1 |
| 3.201 | 27.88 | 100.0 |
| 2.573 | 34.87 | 33.4 |
| 2.536 | 35.40 | 18.4 |
| 2.464 | 36.47 | 21.3 |
| 2.409 | 37.33 | 21.1 |
| 1.930 | 47.10 | 11.7 |
| 1.806 | 50.54 | 15.3 |
| 1.327 | 71.01 | 14.7 |

=====

Record 3
The following is a theoretical powder X-ray diffraction pattern of RbTe2Pd5. It was derived from a crystal structure in Alexandria, relaxed with PBE, using λ = 1.5418 Å (Cu Kα).
Kinematic intensities with the Lorentz-polarization factor, no thermal factor.

a b c (Å): 4.405 7.544 10.566
angles (deg): 90.00 90.00 90.00
Element x y z (fractional)
Rb 0.000 0.000 0.000
Rb 0.500 0.500 0.500
Te 0.000 0.500 0.242
Te 0.000 0.500 0.758
Te 0.500 0.000 0.258
Te 0.500 0.000 0.742
Pd 0.000 0.183 0.351
Pd 0.000 0.183 0.649
Pd 0.000 0.500 0.000
Pd 0.000 0.817 0.351
Pd 0.000 0.817 0.649
Pd 0.500 0.000 0.500
Pd 0.500 0.317 0.149
Pd 0.500 0.317 0.851
Pd 0.500 0.683 0.149
Pd 0.500 0.683 0.851

The 10 most intense peaks (10 to 90 degrees two-theta), low angle first:
| d/Å | 2theta | intensity |
| --- | --- | --- |
| 6.140 | 14.43 | 43.7 |
| 5.283 | 16.78 | 26.1 |
| 2.765 | 32.38 | 90.2 |
| 2.751 | 32.55 | 100.0 |
| 2.202 | 40.98 | 62.5 |
| 2.184 | 41.34 | 73.9 |
| 2.170 | 41.63 | 52.3 |
| 2.164 | 41.75 | 70.4 |
| 2.018 | 44.91 | 30.3 |
| 1.543 | 59.93 | 47.6 |

=====

Record 4
The following is a theoretical powder X-ray diffraction pattern of Rb2ZrTe4Pd2. It was derived from a crystal structure in Alexandria, relaxed with PBE, using λ = 1.5418 Å (Cu Kα).
Kinematic intensities with the Lorentz-polarization factor, no thermal factor.

a b c (Å): 7.940 7.940 8.860
angles (deg): 105.31 105.31 30.64
Element x y z (fractional)
Rb 0.136 0.136 0.069
Rb 0.864 0.864 0.931
Zr 0.000 0.000 0.500
Te 0.196 0.196 0.672
Te 0.494 0.494 0.737
Te 0.506 0.506 0.263
Te 0.804 0.804 0.328
Pd 0.334 0.334 0.523
Pd 0.666 0.666 0.477

The 10 most intense peaks (10 to 90 degrees two-theta), low angle first:
| d/Å | 2theta | intensity |
| --- | --- | --- |
| 8.522 | 10.38 | 100.0 |
| 3.263 | 27.33 | 43.3 |
| 3.186 | 28.00 | 29.3 |
| 3.046 | 29.32 | 78.8 |
| 2.827 | 31.65 | 36.2 |
| 2.804 | 31.92 | 48.6 |
| 2.455 | 36.60 | 31.2 |
| 2.360 | 38.13 | 37.4 |
| 2.098 | 43.12 | 35.0 |
| 1.956 | 46.43 | 29.1 |

=====

Record 5
The following is a theoretical powder X-ray diffraction pattern of Rb3Tl2Pd2. It was derived from a crystal structure in Alexandria, relaxed with PBE, using λ = 1.5418 Å (Cu Kα).
Kinematic intensities with the Lorentz-polarization factor, no thermal factor.

a b c (Å): 7.111 9.497 14.726
angles (deg): 90.00 90.00 90.00
Element x y z (fractional)
Rb 0.133 0.108 0.097
Rb 0.133 0.108 0.403
Rb 0.133 0.392 0.597
Rb 0.133 0.392 0.903
Rb 0.325 0.713 0.750
Rb 0.325 0.787 0.250
Rb 0.675 0.213 0.750
Rb 0.675 0.287 0.250
Rb 0.867 0.608 0.097
Rb 0.867 0.608 0.403
Rb 0.867 0.892 0.597
Rb 0.867 0.892 0.903
Tl 0.225 0.074 0.750
Tl 0.225 0.426 0.250
Tl 0.415 0.750 0.000
Tl 0.415 0.750 0.500
Tl 0.585 0.250 0.000
Tl 0.585 0.250 0.500
Tl 0.775 0.574 0.750
Tl 0.775 0.926 0.250
Pd 0.393 0.018 0.584
Pd 0.393 0.018 0.916
Pd 0.393 0.482 0.084
Pd 0.393 0.482 0.416
Pd 0.607 0.518 0.584
Pd 0.607 0.518 0.916
Pd 0.607 0.982 0.084
Pd 0.607 0.982 0.416

The 10 most intense peaks (10 to 90 degrees two-theta), low angle first:
| d/Å | 2theta | intensity |
| --- | --- | --- |
| 7.111 | 12.45 | 78.3 |
| 5.310 | 16.70 | 83.3 |
| 5.115 | 17.34 | 58.2 |
| 3.413 | 26.11 | 51.5 |
| 3.330 | 26.77 | 61.8 |
| 3.202 | 27.86 | 55.3 |
| 2.892 | 30.92 | 88.8 |
| 2.756 | 32.49 | 100.0 |
| 2.693 | 33.27 | 51.8 |
| 2.252 | 40.03 | 70.1 |

=====

Record 6
The following is a theoretical powder X-ray diffraction pattern of Rb2TlPd. It was derived from a crystal structure in Alexandria, relaxed with PBE, using λ = 1.5418 Å (Cu Kα).
Kinematic intensities with the Lorentz-polarization factor, no thermal factor.

a b c (Å): 8.316 4.787 9.764
angles (deg): 90.00 106.12 90.00
Element x y z (fractional)
Rb 0.000 0.000 0.000
Rb 0.173 0.000 0.533
Rb 0.500 0.500 0.000
Rb 0.673 0.500 0.533
Tl 0.253 0.500 0.267
Tl 0.753 0.000 0.267
Pd 0.420 0.000 0.266
Pd 0.920 0.500 0.266

The 10 most intense peaks (10 to 90 degrees two-theta), low angle first:
| d/Å | 2theta | intensity |
| --- | --- | --- |
| 3.575 | 24.90 | 93.5 |
| 3.355 | 26.57 | 37.9 |
| 3.334 | 26.74 | 76.1 |
| 3.127 | 28.55 | 39.0 |
| 2.892 | 30.92 | 41.1 |
| 2.397 | 37.52 | 100.0 |
| 2.345 | 38.39 | 29.4 |
| 2.327 | 38.69 | 25.2 |
| 2.320 | 38.82 | 44.0 |
| 1.899 | 47.90 | 38.4 |

=====

Record 7
The following is a theoretical powder X-ray diffraction pattern of RbTl6Pd3. It was derived from a crystal structure in Alexandria, relaxed with PBE, using λ = 1.5418 Å (Cu Kα).
Kinematic intensities with the Lorentz-polarization factor, no thermal factor.

a b c (Å): 6.986 7.018 7.583
angles (deg): 114.11 93.38 119.51
Element x y z (fractional)
Rb 0.000 0.000 0.000
Tl 0.105 0.645 0.223
Tl 0.362 0.251 0.603
Tl 0.396 0.800 0.706
Tl 0.574 0.114 0.218
Tl 0.654 0.710 0.358
Tl 0.909 0.310 0.708
Pd 0.392 0.596 0.988
Pd 0.623 0.346 0.968
Pd 0.923 0.591 0.524

The 10 most intense peaks (10 to 90 degrees two-theta), low angle first:
| d/Å | 2theta | intensity |
| --- | --- | --- |
| 3.180 | 28.06 | 35.8 |
| 3.033 | 29.45 | 86.5 |
| 3.019 | 29.59 | 86.4 |
| 3.001 | 29.78 | 52.7 |
| 2.947 | 30.33 | 40.3 |
| 2.618 | 34.25 | 46.0 |
| 2.485 | 36.15 | 88.4 |
| 2.398 | 37.51 | 100.0 |
| 2.362 | 38.10 | 56.5 |
| 1.763 | 51.85 | 35.7 |

=====

Record 8
The following is a theoretical powder X-ray diffraction pattern of Rb2Tl5Pd4. It was derived from a crystal structure in Alexandria, relaxed with PBE, using λ = 1.5418 Å (Cu Kα).
Kinematic intensities with the Lorentz-polarization factor, no thermal factor.

a b c (Å): 7.341 7.341 8.450
angles (deg): 119.16 119.16 69.04
Element x y z (fractional)
Rb 0.091 0.091 0.348
Rb 0.909 0.909 0.652
Tl 0.118 0.517 0.881
Tl 0.483 0.882 0.119
Tl 0.500 0.500 0.500
Tl 0.517 0.118 0.881
Tl 0.882 0.483 0.119
Pd 0.273 0.273 0.119
Pd 0.464 0.464 0.798
Pd 0.536 0.536 0.202
Pd 0.727 0.727 0.881

The 10 most intense peaks (10 to 90 degrees two-theta), low angle first:
| d/Å | 2theta | intensity |
| --- | --- | --- |
| 6.815 | 12.99 | 59.5 |
| 6.330 | 13.99 | 61.7 |
| 3.551 | 25.08 | 29.9 |
| 3.172 | 28.13 | 100.0 |
| 2.633 | 34.05 | 29.7 |
| 2.595 | 34.56 | 25.1 |
| 2.427 | 37.04 | 28.2 |
| 2.382 | 37.77 | 26.9 |
| 2.313 | 38.93 | 23.8 |
| 2.214 | 40.76 | 28.3 |